No. 1
For MnMo3O9, a cell relaxed with GGA+U gives the computed X-ray diffraction stick pattern in this record (Cu Kα, 1.54184 Å).
Peak positions follow from Bragg's law for the DFT cell and can differ from measured ones.

Structure:
Cell: 8.5021 8.5021 10.8255 Å, 120.86 120.86 53.47°
Fractional coordinates of all 26 atoms:
Mn 0.2486 0.7514 0.5000
Mn 0.7514 0.2486 0.0000
Mo 0.0280 0.2214 0.8121
Mo 0.2214 0.0280 0.3121
Mo 0.2689 0.4619 0.6761
Mo 0.4619 0.2689 0.1761
Mo 0.7358 0.7648 0.2537
Mo 0.7648 0.7358 0.7537
O 0.0089 0.6256 0.6969
O 0.0563 0.1327 0.1587
O 0.1327 0.0563 0.6587
O 0.1572 0.8809 0.3343
O 0.2458 0.2625 0.0025
O 0.2625 0.2458 0.5025
O 0.3417 0.6075 0.6632
O 0.3718 0.4433 0.3336
O 0.4433 0.3718 0.8336
O 0.5026 0.8724 0.3124
O 0.5419 0.7442 0.5951
O 0.6075 0.3417 0.1632
O 0.6256 0.0089 0.1969
O 0.7442 0.5419 0.0951
O 0.7451 0.9621 0.9115
O 0.8724 0.5026 0.8124
O 0.8809 0.1572 0.8343
O 0.9621 0.7451 0.4115

The 10 most intense peaks (2θ from 10° to 90°), in order of rising 2θ:
19.18 deg, I = 84.1
20.04 deg, I = 29.4
20.57 deg, I = 20.1
22.44 deg, I = 100.0
24.43 deg, I = 45.0
25.36 deg, I = 22.1
27.65 deg, I = 17.7
30.83 deg, I = 30.7
34.30 deg, I = 20.5
50.52 deg, I = 16.2

=====

No. 2
For PaMnMoO6, a cell relaxed with GGA+U gives the computed X-ray diffraction stick pattern in this record (Cu Kα, 1.54184 Å).
Peak positions follow from Bragg's law for the DFT cell and can differ from measured ones.

Structure:
Cell: 5.5349 5.5349 9.0907 Å, 90.00 90.00 120.00°
Fractional coordinates of all 18 atoms:
Pa 0.3333 0.6667 0.2500
Pa 0.6667 0.3333 0.7500
Mn 0.0000 0.0000 0.0000
Mn 0.0000 0.0000 0.5000
Mo 0.3333 0.6667 0.7500
Mo 0.6667 0.3333 0.2500
O 0.0231 0.3593 0.6321
O 0.0231 0.6638 0.8679
O 0.3362 0.3593 0.8679
O 0.3362 0.9769 0.6321
O 0.3593 0.0231 0.1321
O 0.3593 0.3362 0.3679
O 0.6407 0.6638 0.6321
O 0.6407 0.9769 0.8679
O 0.6638 0.0231 0.3679
O 0.6638 0.6407 0.1321
O 0.9769 0.3362 0.1321
O 0.9769 0.6407 0.3679

The 10 most intense peaks (2θ from 10° to 90°), in order of rising 2θ:
18.51 deg, I = 30.6
19.53 deg, I = 57.2
20.95 deg, I = 39.1
27.03 deg, I = 100.0
32.35 deg, I = 71.3
38.07 deg, I = 64.4
42.65 deg, I = 28.7
52.07 deg, I = 60.3
54.53 deg, I = 27.8
57.70 deg, I = 25.8

=====

No. 3
For Rb4MnMo3O12, a cell relaxed with GGA+U gives the computed X-ray diffraction stick pattern in this record (Cu Kα, 1.54184 Å).
Peak positions follow from Bragg's law for the DFT cell and can differ from measured ones.

Structure:
Cell: 6.2324 6.2324 24.3709 Å, 90.00 90.00 120.00°
Fractional coordinates of all 40 atoms:
Rb 0.3333 0.6667 0.0000
Rb 0.3333 0.6667 0.1756
Rb 0.3333 0.6667 0.6223
Rb 0.3333 0.6667 0.8094
Rb 0.6667 0.3333 0.1223
Rb 0.6667 0.3333 0.3094
Rb 0.6667 0.3333 0.5000
Rb 0.6667 0.3333 0.6756
Mn 0.0000 0.0000 0.4020
Mn 0.0000 0.0000 0.9020
Mo 0.0000 0.0000 0.0617
Mo 0.0000 0.0000 0.2427
Mo 0.0000 0.0000 0.5617
Mo 0.0000 0.0000 0.7427
Mo 0.3333 0.6667 0.4242
Mo 0.6667 0.3333 0.9242
O 0.0000 0.0000 0.3174
O 0.0000 0.0000 0.4867
O 0.0000 0.0000 0.8174
O 0.0000 0.0000 0.9867
O 0.0681 0.3795 0.4006
O 0.0981 0.3078 0.7192
O 0.1305 0.8203 0.0867
O 0.1797 0.3102 0.0867
O 0.2098 0.9019 0.7192
O 0.3078 0.0981 0.2192
O 0.3102 0.1797 0.5867
O 0.3114 0.9319 0.4006
O 0.3333 0.6667 0.4965
O 0.3795 0.0681 0.9006
O 0.6205 0.6886 0.4006
O 0.6667 0.3333 0.9965
O 0.6886 0.6205 0.9006
O 0.6898 0.8695 0.0867
O 0.6922 0.7902 0.7192
O 0.7902 0.6922 0.2192
O 0.8203 0.1305 0.5867
O 0.8695 0.6898 0.5867
O 0.9019 0.2098 0.2192
O 0.9319 0.3114 0.9006

The 10 most intense peaks (2θ from 10° to 90°), in order of rising 2θ:
22.00 deg, I = 15.0
24.61 deg, I = 57.1
27.48 deg, I = 49.7
28.65 deg, I = 100.0
38.12 deg, I = 24.9
40.12 deg, I = 12.6
48.37 deg, I = 15.5
50.03 deg, I = 17.1
50.74 deg, I = 23.0
59.32 deg, I = 16.2

=====

No. 4
For Sr2MnMoO6, a cell relaxed with GGA+U gives the computed X-ray diffraction stick pattern in this record (Cu Kα, 1.54184 Å).
Peak positions follow from Bragg's law for the DFT cell and can differ from measured ones.

Structure:
Cell: 8.0913 8.0913 8.1635 Å, 90.00 90.00 90.00°
Fractional coordinates of all 40 atoms:
Sr 0.2500 0.2500 0.2500
Sr 0.2500 0.2500 0.7500
Sr 0.2500 0.7500 0.2353
Sr 0.2500 0.7500 0.7353
Sr 0.7500 0.2500 0.2647
Sr 0.7500 0.2500 0.7647
Sr 0.7500 0.7500 0.2500
Sr 0.7500 0.7500 0.7500
Mn 0.0000 0.0000 0.0000
Mn 0.0000 0.5000 0.5000
Mn 0.5000 0.0000 0.5000
Mn 0.5000 0.5000 0.0000
Mo 0.0000 0.0000 0.5000
Mo 0.0000 0.5000 0.0000
Mo 0.5000 0.0000 0.0000
Mo 0.5000 0.5000 0.5000
O 0.0204 0.0241 0.2631
O 0.0241 0.4796 0.2369
O 0.0429 0.2638 0.9768
O 0.0462 0.7640 0.4799
O 0.2362 0.0429 0.5232
O 0.2360 0.5462 0.9799
O 0.2638 0.4571 0.5232
O 0.2640 0.9538 0.9799
O 0.4538 0.7360 0.4799
O 0.4571 0.2362 0.9768
O 0.4759 0.0204 0.2369
O 0.4796 0.4759 0.2631
O 0.5204 0.5241 0.7369
O 0.5241 0.9796 0.7631
O 0.5429 0.7638 0.0232
O 0.5462 0.2640 0.5201
O 0.7360 0.0462 0.0201
O 0.7362 0.5429 0.4768
O 0.7640 0.4538 0.0201
O 0.7638 0.9571 0.4768
O 0.9538 0.2360 0.5201
O 0.9571 0.7362 0.0232
O 0.9759 0.5204 0.7631
O 0.9796 0.9759 0.7369

The 10 most intense peaks (2θ from 10° to 90°), in order of rising 2θ:
18.94 deg, I = 10.1
31.13 deg, I = 100.0
31.27 deg, I = 53.9
44.39 deg, I = 17.7
44.80 deg, I = 33.2
55.29 deg, I = 20.9
55.56 deg, I = 43.2
64.90 deg, I = 18.9
65.23 deg, I = 9.0
74.08 deg, I = 17.6